1.
The following is a theoretical powder XRD pattern of RhI. It was derived from the PBE geometry in the Materials Project, using CuKα.

Structural model:
```
RhI
1.0
4.093 0.000 0.000
-2.046 3.544 0.000
0.000 0.000 7.447
Rh I
2 2
direct
0.333 0.667 0.000
0.667 0.333 0.500
0.333 0.667 0.646
0.667 0.333 0.146
```

Main lines, in order of rising 2θ (10 to 80 degrees two-theta):
d 3.723, I = 47; d 3.544, I = 83; d 3.200, I = 77; d 2.567, I = 26; d 2.046, I = 71; d 2.033, I = 100; d 1.793, I = 35; d 1.724, I = 12; d 1.442, I = 32; d 1.373, I = 16

=====

2.
The following is a theoretical powder XRD pattern of Tb7RhI12. It was derived from the PBE geometry in the Materials Project, using CuKα.

Structural model:
```
Tb7RhI12
1.0
7.886 4.553 3.663
-7.886 4.553 3.663
0.000 -9.106 3.663
Tb Rh I
7 1 12
direct
0.000 0.000 0.000
0.204 0.405 0.476
0.405 0.476 0.204
0.476 0.204 0.405
0.524 0.796 0.595
0.595 0.524 0.796
0.796 0.595 0.524
0.500 0.500 0.500
0.034 0.337 0.112
0.112 0.034 0.337
0.177 0.724 0.571
0.276 0.429 0.823
0.337 0.112 0.034
0.429 0.823 0.276
0.571 0.177 0.724
0.663 0.888 0.966
0.724 0.571 0.177
0.823 0.276 0.429
0.888 0.966 0.663
0.966 0.663 0.888
```

Main lines, in order of rising 2θ (10 to 80 degrees two-theta):
d 8.562, I = 12; d 7.886, I = 30; d 3.581, I = 11; d 3.119, I = 100; d 2.224, I = 35; d 2.187, I = 35; d 1.791, I = 17; d 1.560, I = 14; d 1.404, I = 12; d 1.386, I = 13

=====

3.
The following is a theoretical powder XRD pattern of Y6RhI10. It was derived from the PBE geometry in the Materials Project, using CuKα.

Structural model:
```
Y6RhI10
1.0
7.714 0.000 0.000
-2.474 9.365 0.000
-1.211 -3.350 9.126
Y Rh I
6 1 10
direct
0.030 0.220 0.418
0.114 0.541 0.258
0.354 0.628 0.668
0.646 0.372 0.332
0.886 0.459 0.742
0.970 0.780 0.582
0.000 0.500 0.500
0.086 0.872 0.321
0.214 0.239 0.152
0.263 0.590 0.965
0.355 0.955 0.775
0.452 0.317 0.592
0.548 0.683 0.408
0.645 0.045 0.225
0.737 0.410 0.035
0.786 0.761 0.848
0.914 0.128 0.679
```

Main lines, in order of rising 2θ (10 to 80 degrees two-theta):
d 3.578, I = 86; d 3.154, I = 98; d 3.098, I = 100; d 3.066, I = 93; d 2.218, I = 33; d 2.205, I = 67; d 2.190, I = 34; d 2.187, I = 33; d 2.172, I = 34; d 1.789, I = 52

=====

4.
The following is a theoretical powder XRD pattern of RuI. It was derived from the PBE geometry in the Materials Project, using CuKα.

Structural model:
```
RuI
1.0
4.030 0.000 0.000
-2.015 3.490 0.000
0.000 0.000 7.429
Ru I
2 2
direct
0.333 0.667 0.000
0.667 0.333 0.500
0.333 0.667 0.644
0.667 0.333 0.144
```

Main lines, in order of rising 2θ (10 to 80 degrees two-theta):
d 3.714, I = 49; d 3.490, I = 82; d 3.159, I = 75; d 2.543, I = 27; d 2.020, I = 100; d 2.015, I = 69; d 1.771, I = 35; d 1.699, I = 12; d 1.426, I = 32; d 1.367, I = 20

=====

5.
The following is a theoretical powder XRD pattern of Ru3I. It was derived from the PBE geometry in the Materials Project, using CuKα.

Structural model:
```
Ru3I
1.0
3.980 0.000 0.000
0.000 3.980 0.000
0.000 0.000 3.980
Ru I
3 1
direct
0.000 0.000 0.500
0.000 0.500 0.000
0.500 0.000 0.000
0.500 0.500 0.500
```

Main lines, in order of rising 2θ (10 to 80 degrees two-theta):
d 3.980, I = 1; d 2.814, I = 1; d 2.298, I = 100; d 1.990, I = 48; d 1.407, I = 31; d 1.200, I = 36

=====

6.
The following is a theoretical powder XRD pattern of Tb7RuI12. It was derived from the PBE geometry in the Materials Project, using CuKα.

Structural model:
```
Tb7RuI12
1.0
7.901 4.561 3.633
-7.901 4.561 3.633
0.000 -9.123 3.633
Tb Ru I
7 1 12
direct
0.000 0.000 0.000
0.203 0.475 0.404
0.404 0.203 0.475
0.475 0.404 0.203
0.525 0.596 0.797
0.596 0.797 0.525
0.797 0.525 0.596
0.500 0.500 0.500
0.033 0.111 0.338
0.111 0.338 0.033
0.180 0.573 0.725
0.275 0.820 0.427
0.338 0.033 0.111
0.427 0.275 0.820
0.573 0.725 0.180
0.662 0.967 0.889
0.725 0.180 0.573
0.820 0.427 0.275
0.889 0.662 0.967
0.967 0.889 0.662
```

Main lines, in order of rising 2θ (10 to 80 degrees two-theta):
d 8.526, I = 11; d 7.901, I = 30; d 3.584, I = 11; d 3.115, I = 100; d 2.214, I = 35; d 2.191, I = 35; d 1.792, I = 18; d 1.557, I = 14; d 1.399, I = 12; d 1.387, I = 13

=====

7.
The following is a theoretical powder XRD pattern of Y3RuI3. It was derived from the PBE geometry in the Materials Project, using CuKα.

Structural model:
```
Y3RuI3
1.0
8.893 0.000 0.000
0.000 4.254 0.000
-0.815 0.000 12.318
Y Ru I
6 2 6
direct
0.100 0.250 0.316
0.132 0.250 0.873
0.259 0.750 0.104
0.741 0.250 0.896
0.868 0.750 0.127
0.900 0.750 0.684
0.053 0.250 0.093
0.947 0.750 0.907
0.141 0.250 0.607
0.353 0.750 0.364
0.425 0.750 0.868
0.575 0.250 0.132
0.647 0.250 0.636
0.859 0.750 0.393
```

Main lines, in order of rising 2θ (10 to 80 degrees two-theta):
d 3.497, I = 21; d 3.074, I = 100; d 3.012, I = 11; d 2.948, I = 7; d 2.407, I = 10; d 2.226, I = 26; d 2.209, I = 10; d 2.127, I = 27; d 1.817, I = 8; d 1.750, I = 13

=====

8.
The following is a theoretical powder XRD pattern of SbS24I3. It was derived from the PBE geometry in the Materials Project, using CuKα.

Structural model:
```
SbS24I3
1.0
13.127 7.579 1.700
-13.127 7.579 1.700
0.000 -15.157 1.700
Sb S I
1 24 3
direct
0.000 0.000 0.000
0.078 0.338 0.466
0.078 0.466 0.338
0.171 0.352 0.824
0.171 0.824 0.352
0.192 0.192 0.911
0.192 0.911 0.192
0.330 0.330 0.736
0.330 0.736 0.330
0.338 0.078 0.466
0.338 0.466 0.078
0.352 0.171 0.824
0.352 0.824 0.171
0.436 0.564 0.954
0.436 0.954 0.564
0.466 0.078 0.338
0.466 0.338 0.078
0.564 0.436 0.954
0.564 0.954 0.436
0.736 0.330 0.330
0.824 0.171 0.352
0.824 0.352 0.171
0.911 0.192 0.192
0.954 0.436 0.564
0.954 0.564 0.436
0.680 0.680 0.839
0.680 0.839 0.680
0.839 0.680 0.680
```

Main lines, in order of rising 2θ (10 to 80 degrees two-theta):
d 4.653, I = 100; d 3.790, I = 19; d 3.641, I = 60; d 3.394, I = 34; d 3.187, I = 24; d 3.014, I = 32; d 2.867, I = 27; d 2.161, I = 23; d 2.053, I = 19; d 2.004, I = 24

=====

9.
The following is a theoretical powder XRD pattern of SbSI2. It was derived from the PBE geometry in the Materials Project, using CuKα.

Structural model:
```
SbSI2
1.0
5.524 0.000 0.000
0.000 6.395 0.000
0.000 0.000 12.343
Sb S I
2 2 4
direct
0.000 0.079 0.000
0.000 0.921 0.500
0.000 0.103 0.665
0.000 0.897 0.165
0.000 0.498 0.577
0.000 0.502 0.077
0.500 0.002 0.910
0.500 0.998 0.410
```

Main lines, in order of rising 2θ (10 to 80 degrees two-theta):
d 6.395, I = 34; d 6.172, I = 88; d 5.524, I = 32; d 4.441, I = 67; d 4.116, I = 100; d 3.197, I = 37; d 2.762, I = 41; d 2.524, I = 66; d 2.483, I = 36; d 1.846, I = 40

=====

10.
The following is a theoretical powder XRD pattern of SbSI2. It was derived from the PBE geometry in the Materials Project, using CuKα.

Structural model:
```
SbSI2
1.0
6.400 0.000 0.000
0.000 9.172 0.000
0.000 0.000 6.254
Sb S I
2 2 4
direct
0.000 0.145 0.000
0.000 0.855 0.500
0.000 0.121 0.613
0.000 0.879 0.113
0.000 0.498 0.879
0.000 0.502 0.379
0.500 0.017 0.032
0.500 0.983 0.532
```

Main lines, in order of rising 2θ (10 to 80 degrees two-theta):
d 6.400, I = 69; d 5.248, I = 80; d 4.586, I = 63; d 3.200, I = 96; d 2.960, I = 63; d 2.759, I = 100; d 2.396, I = 45; d 2.173, I = 52; d 2.069, I = 34; d 1.776, I = 32